This entry pairs a crystal structure of KAlSi2 with its computed powder diffractogram. Radiation: Cu Kα X-rays. Structure: a cell relaxed with PBE.
Intensities are scaled so that the largest is 100.

Peak list (8 most intense, 2θ = 5–70°, in order of rising 2θ)
2θ (°), intensity, h k l
13.14, 35, 0 0 1
23.42, 81, 0 1 1
32.96, 99, 0 1 2
35.27, 84, 1 0 1
36.79, 100, 1 1 -1
39.19, 64, 0 2 0
50.80, 43, 1 1 -3
53.74, 46, 1 2 1

Crystal structure
a = 2.988 Å, b = 4.597 Å, c = 6.838 Å
α = 90.00°, β = 99.75°, γ = 90.00°
Space group P2/m (No. 10)
Inequivalent atoms, fractional coordinates:
K 0.000 0.000 0.000 x1
Al 0.500 0.000 0.500 x1
Si 0.302 0.500 0.649 x2